[1]
Er4Cd: simulated X-ray powder pattern (Cu Kα (weighted mean of Kα1 and Kα2)), based on a DFT-relaxed cell (GGA-PBE, Alexandria).

Peak list (8 most intense, 2θ from 5° to 70°, in order of falling intensity)
d [Å], 2theta, I (rel.)
2.675, 33.5, 100
3.281, 27.2, 39
2.930, 30.5, 27
2.509, 35.8, 26
2.789, 32.1, 22
2.902, 30.8, 20
2.963, 30.2, 18
2.827, 31.7, 18

Crystal structure
```
Er4Cd
1.0
3.396 -8.705 0.000
3.396 8.705 0.000
-3.323 0.000 4.993
Er Cd
8 2
Direct
0.055 0.476 0.765 Er
0.096 0.264 0.129 Er
0.264 0.096 0.629 Er
0.476 0.055 0.265 Er
0.524 0.945 0.735 Er
0.736 0.904 0.371 Er
0.904 0.736 0.871 Er
0.945 0.524 0.235 Er
0.441 0.559 0.750 Cd
0.559 0.441 0.250 Cd
```

[2]
DyNpCuS4: simulated X-ray powder pattern (Cu Kα (weighted mean of Kα1 and Kα2)), based on a DFT-relaxed cell (GGA-PBE, Alexandria).

Peak list (8 most intense, 2θ from 5° to 70°, in order of falling intensity)
d [Å], 2theta, I (rel.)
4.375, 20.3, 100
2.516, 35.7, 57
3.190, 28.0, 56
3.111, 28.7, 56
2.504, 35.9, 56
2.376, 37.9, 50
2.187, 41.3, 38
3.563, 25.0, 24

Crystal structure
```
DyNpCuS4
1.0
6.284 0.000 0.000
0.000 6.379 0.000
-2.174 0.000 7.137
Dy Np Cu S
2 2 2 8
Direct
0.228 0.250 0.054 Dy
0.772 0.750 0.946 Dy
0.224 0.250 0.555 Np
0.776 0.750 0.445 Np
0.245 0.750 0.318 Cu
0.755 0.250 0.682 Cu
0.015 0.510 0.750 S
0.015 0.990 0.750 S
0.453 0.750 0.117 S
0.457 0.750 0.617 S
0.543 0.250 0.383 S
0.547 0.250 0.883 S
0.985 0.010 0.250 S
0.985 0.490 0.250 S
```